# 1
Ba2Y: computed powder XRD pattern (copper Kα), based on a structure optimized by DFT (GGA-PBE).
Kinematic intensities with the Lorentz-polarization factor, no thermal factor.

Atomic structure:
```
data_Ba2Y
_chemical_formula_sum 'Ba8 Y4'
_symmetry_space_group_name_H-M 'P 1'
_symmetry_Int_Tables_number 1
_symmetry_space_group_name_Hall 'P 1'
_cell_length_a 14.9505
_cell_length_b 4.3413
_cell_length_c 9.7675
_cell_angle_alpha 90.00
_cell_angle_beta 110.06
_cell_angle_gamma 90.00
loop_
_atom_site_label
_atom_site_fract_x
_atom_site_fract_y
_atom_site_fract_z
Ba1 0.0000 0.0000 0.0000
Ba2 0.0035 0.0000 0.5183
Ba3 0.1946 0.5000 0.8244
Ba4 0.3140 0.0000 0.2017
Ba5 0.5000 0.5000 0.0000
Ba6 0.5035 0.5000 0.5183
Ba7 0.6946 0.0000 0.8244
Ba8 0.8140 0.5000 0.2017
Y1 0.1653 0.5000 0.3728
Y2 0.3227 0.0000 0.6243
Y3 0.6653 0.0000 0.3728
Y4 0.8227 0.5000 0.6243
```

Top 12 peaks for 2θ = 10–80°, by intensity:
| 2θ/deg | Rel. int. |
| --- | --- |
| 27.49 | 100 |
| 28.03 | 89 |
| 26.61 | 49 |
| 26.14 | 41 |
| 50.07 | 21 |
| 48.20 | 17 |
| 41.61 | 16 |
| 47.18 | 15 |
| 38.46 | 15 |
| 49.80 | 14 |
| 36.81 | 13 |
| 46.62 | 11 |



# 2
Sm8Tl2Co3: computed powder XRD pattern (copper Kα), based on a structure optimized by DFT (GGA-PBE).
Kinematic intensities with the Lorentz-polarization factor, no thermal factor.

Atomic structure:
```
data_Sm8Tl2Co3
_chemical_formula_sum 'Sm8 Tl2 Co3'
_symmetry_space_group_name_H-M 'P 1'
_symmetry_Int_Tables_number 1
_symmetry_space_group_name_Hall 'P 1'
_cell_length_a 8.7399
_cell_length_b 8.7399
_cell_length_c 6.9447
_cell_angle_alpha 104.31
_cell_angle_beta 104.31
_cell_angle_gamma 50.09
loop_
_atom_site_label
_atom_site_fract_x
_atom_site_fract_y
_atom_site_fract_z
Sm1 0.1214 0.1214 0.8761
Sm2 0.1485 0.6616 0.6231
Sm3 0.3384 0.8515 0.3769
Sm4 0.3992 0.3992 0.0642
Sm5 0.6008 0.6008 0.9358
Sm6 0.6616 0.1485 0.6231
Sm7 0.8515 0.3384 0.3769
Sm8 0.8786 0.8786 0.1239
Tl1 0.2593 0.2593 0.3296
Tl2 0.7407 0.7407 0.6704
Co1 0.0000 0.0000 0.5000
Co2 0.2103 0.7897 0.0000
Co3 0.7897 0.2103 0.0000
```

Top 12 peaks for 2θ = 10–80°, by intensity:
| 2θ/deg | Rel. int. |
| --- | --- |
| 33.89 | 100 |
| 31.42 | 73 |
| 32.06 | 66 |
| 46.28 | 60 |
| 28.47 | 38 |
| 22.38 | 34 |
| 27.56 | 33 |
| 19.92 | 31 |
| 26.79 | 29 |
| 49.25 | 26 |
| 30.40 | 24 |
| 31.18 | 24 |



# 3
Li2La3Cd7: computed powder XRD pattern (copper Kα), based on a structure optimized by DFT (GGA-PBE).
Kinematic intensities with the Lorentz-polarization factor, no thermal factor.

Atomic structure:
```
data_Li2La3Cd7
_chemical_formula_sum 'Li2 La3 Cd7'
_symmetry_space_group_name_H-M 'P 1'
_symmetry_Int_Tables_number 1
_symmetry_space_group_name_Hall 'P 1'
_cell_length_a 10.0416
_cell_length_b 10.0416
_cell_length_c 10.0416
_cell_angle_alpha 34.95
_cell_angle_beta 34.95
_cell_angle_gamma 34.95
loop_
_atom_site_label
_atom_site_fract_x
_atom_site_fract_y
_atom_site_fract_z
Li1 0.1667 0.1667 0.1667
Li2 0.8333 0.8333 0.8333
La1 0.3606 0.3606 0.3606
La2 0.5000 0.5000 0.5000
La3 0.6394 0.6394 0.6394
Cd1 0.0000 0.0000 0.0000
Cd2 0.0804 0.0804 0.5758
Cd3 0.0804 0.5758 0.0804
Cd4 0.4242 0.9196 0.9196
Cd5 0.5758 0.0804 0.0804
Cd6 0.9196 0.4242 0.9196
Cd7 0.9196 0.9196 0.4242
```

Top 12 peaks for 2θ = 10–80°, by intensity:
| 2θ/deg | Rel. int. |
| --- | --- |
| 35.35 | 100 |
| 34.49 | 86 |
| 30.55 | 70 |
| 27.94 | 59 |
| 34.94 | 43 |
| 37.96 | 39 |
| 61.50 | 36 |
| 57.73 | 35 |
| 53.15 | 27 |
| 56.34 | 25 |
| 54.95 | 25 |
| 51.54 | 22 |



# 4
Ce3In2Ga: computed powder XRD pattern (copper Kα), based on a structure optimized by DFT (GGA-PBE).
Kinematic intensities with the Lorentz-polarization factor, no thermal factor.

Atomic structure:
```
data_Ce3In2Ga
_chemical_formula_sum 'Ce6 In4 Ga2'
_symmetry_space_group_name_H-M 'P 1'
_symmetry_Int_Tables_number 1
_symmetry_space_group_name_Hall 'P 1'
_cell_length_a 5.7785
_cell_length_b 17.2531
_cell_length_c 3.1853
_cell_angle_alpha 90.00
_cell_angle_beta 90.00
_cell_angle_gamma 90.00
loop_
_atom_site_label
_atom_site_fract_x
_atom_site_fract_y
_atom_site_fract_z
Ce1 0.0000 0.0000 0.0000
Ce2 0.0000 0.3442 0.0000
Ce3 0.0000 0.6558 0.0000
Ce4 0.5000 0.1558 0.0000
Ce5 0.5000 0.5000 0.0000
Ce6 0.5000 0.8442 0.0000
In1 0.0000 0.1723 0.5000
In2 0.0000 0.8277 0.5000
In3 0.5000 0.3277 0.5000
In4 0.5000 0.6723 0.5000
Ga1 0.0000 0.5000 0.5000
Ga2 0.5000 0.0000 0.5000
```

Top 12 peaks for 2θ = 10–80°, by intensity:
| 2θ/deg | Rel. int. |
| --- | --- |
| 35.78 | 100 |
| 30.95 | 38 |
| 31.10 | 34 |
| 44.45 | 25 |
| 58.23 | 24 |
| 58.41 | 20 |
| 67.15 | 15 |
| 75.80 | 10 |
| 76.17 | 9 |
| 57.90 | 6 |
| 73.34 | 6 |
| 64.50 | 4 |



# 5
Y2Tm17: computed powder XRD pattern (copper Kα), based on a structure optimized by DFT (GGA-PBE).
Kinematic intensities with the Lorentz-polarization factor, no thermal factor.

Atomic structure:
```
data_Y2Tm17
_chemical_formula_sum 'Y2 Tm17'
_symmetry_space_group_name_H-M 'P 1'
_symmetry_Int_Tables_number 1
_symmetry_space_group_name_Hall 'P 1'
_cell_length_a 8.6045
_cell_length_b 8.6045
_cell_length_c 8.6045
_cell_angle_alpha 79.83
_cell_angle_beta 79.83
_cell_angle_gamma 79.83
loop_
_atom_site_label
_atom_site_fract_x
_atom_site_fract_y
_atom_site_fract_z
Y1 0.1764 0.1764 0.1764
Y2 0.8236 0.8236 0.8236
Tm1 0.0000 0.5000 0.5000
Tm2 0.1337 0.1337 0.6468
Tm3 0.1337 0.6468 0.1337
Tm4 0.1998 0.5000 0.8002
Tm5 0.1998 0.8002 0.5000
Tm6 0.3532 0.8663 0.8663
Tm7 0.4008 0.4008 0.4008
Tm8 0.5000 0.0000 0.5000
Tm9 0.5000 0.1998 0.8002
Tm10 0.5000 0.5000 0.0000
Tm11 0.5000 0.8002 0.1998
Tm12 0.5992 0.5992 0.5992
Tm13 0.6468 0.1337 0.1337
Tm14 0.8002 0.1998 0.5000
Tm15 0.8002 0.5000 0.1998
Tm16 0.8663 0.3532 0.8663
Tm17 0.8663 0.8663 0.3532
```

Top 12 peaks for 2θ = 10–80°, by intensity:
| 2θ/deg | Rel. int. |
| --- | --- |
| 36.06 | 100 |
| 32.07 | 93 |
| 31.88 | 56 |
| 32.43 | 56 |
| 27.78 | 31 |
| 35.05 | 30 |
| 30.95 | 30 |
| 57.85 | 28 |
| 27.99 | 26 |
| 16.05 | 26 |
| 55.76 | 20 |
| 10.57 | 17 |



# 6
UVTcMo: computed powder XRD pattern (copper Kα), based on a structure optimized by DFT (GGA-PBE).
Kinematic intensities with the Lorentz-polarization factor, no thermal factor.

Atomic structure:
```
data_UVTcMo
_chemical_formula_sum 'U4 V4 Tc4 Mo4'
_symmetry_space_group_name_H-M 'P 1'
_symmetry_Int_Tables_number 1
_symmetry_space_group_name_Hall 'P 1'
_cell_length_a 6.4204
_cell_length_b 6.4204
_cell_length_c 6.4204
_cell_angle_alpha 90.00
_cell_angle_beta 90.00
_cell_angle_gamma 90.00
loop_
_atom_site_label
_atom_site_fract_x
_atom_site_fract_y
_atom_site_fract_z
U1 0.0000 0.0000 0.0000
U2 0.0000 0.5000 0.5000
U3 0.5000 0.0000 0.5000
U4 0.5000 0.5000 0.0000
V1 0.0000 0.0000 0.5000
V2 0.0000 0.5000 0.0000
V3 0.5000 0.0000 0.0000
V4 0.5000 0.5000 0.5000
Tc1 0.2500 0.2500 0.2500
Tc2 0.2500 0.7500 0.7500
Tc3 0.7500 0.2500 0.7500
Tc4 0.7500 0.7500 0.2500
Mo1 0.2500 0.2500 0.7500
Mo2 0.2500 0.7500 0.2500
Mo3 0.7500 0.2500 0.2500
Mo4 0.7500 0.7500 0.7500
```

Top 10 peaks for 2θ = 10–80°, by intensity:
| 2θ/deg | Rel. int. |
| --- | --- |
| 39.71 | 100 |
| 72.06 | 35 |
| 24.01 | 33 |
| 46.94 | 18 |
| 57.41 | 17 |
| 63.12 | 8 |
| 77.21 | 6 |
| 27.79 | 3 |
| 64.96 | 2 |
| 49.16 | 1 |



# 7
SmEr3Tm5: computed powder XRD pattern (copper Kα), based on a structure optimized by DFT (GGA-PBE).
Kinematic intensities with the Lorentz-polarization factor, no thermal factor.

Atomic structure:
```
data_SmEr3Tm5
_chemical_formula_sum 'Sm2 Er6 Tm10'
_symmetry_space_group_name_H-M 'P 1'
_symmetry_Int_Tables_number 1
_symmetry_space_group_name_Hall 'P 1'
_cell_length_a 9.1299
_cell_length_b 9.1299
_cell_length_c 10.9971
_cell_angle_alpha 126.46
_cell_angle_beta 126.46
_cell_angle_gamma 57.40
loop_
_atom_site_label
_atom_site_fract_x
_atom_site_fract_y
_atom_site_fract_z
Sm1 0.2491 0.7509 0.7500
Sm2 0.7509 0.2491 0.2500
Er1 0.2493 0.3158 0.0342
Er2 0.3158 0.2493 0.5342
Er3 0.5000 0.5000 0.0000
Er4 0.5000 0.5000 0.5000
Er5 0.6842 0.7507 0.4658
Er6 0.7507 0.6842 0.9658
Tm1 0.0243 0.7849 0.8895
Tm2 0.0284 0.6045 0.3291
Tm3 0.1774 0.8226 0.2500
Tm4 0.2151 0.9757 0.6105
Tm5 0.3955 0.9716 0.1709
Tm6 0.6045 0.0284 0.8291
Tm7 0.7849 0.0243 0.3895
Tm8 0.8226 0.1774 0.7500
Tm9 0.9716 0.3955 0.6709
Tm10 0.9757 0.2151 0.1105
```

Top 12 peaks for 2θ = 10–80°, by intensity:
| 2θ/deg | Rel. int. |
| --- | --- |
| 30.28 | 100 |
| 32.58 | 91 |
| 30.06 | 76 |
| 31.54 | 40 |
| 31.72 | 40 |
| 29.60 | 40 |
| 29.91 | 26 |
| 33.20 | 24 |
| 34.36 | 20 |
| 35.19 | 18 |
| 56.82 | 17 |
| 39.60 | 17 |



# 8
SrPrPdO4: computed powder XRD pattern (copper Kα), based on a structure optimized by DFT (GGA-PBE).
Kinematic intensities with the Lorentz-polarization factor, no thermal factor.

Atomic structure:
```
data_SrPrPdO4
_chemical_formula_sum 'Sr2 Pr2 Pd2 O8'
_symmetry_space_group_name_H-M 'P 1'
_symmetry_Int_Tables_number 1
_symmetry_space_group_name_Hall 'P 1'
_cell_length_a 4.0704
_cell_length_b 4.0704
_cell_length_c 12.3229
_cell_angle_alpha 90.00
_cell_angle_beta 90.00
_cell_angle_gamma 90.00
loop_
_atom_site_label
_atom_site_fract_x
_atom_site_fract_y
_atom_site_fract_z
Sr1 0.0000 0.0000 0.0000
Sr2 0.5000 0.5000 0.5000
Pr1 0.0000 0.0000 0.7217
Pr2 0.5000 0.5000 0.2217
Pd1 0.0000 0.0000 0.3625
Pd2 0.5000 0.5000 0.8625
O1 0.0000 0.0000 0.1923
O2 0.0000 0.0000 0.5357
O3 0.0000 0.5000 0.3467
O4 0.0000 0.5000 0.8467
O5 0.5000 0.0000 0.3467
O6 0.5000 0.0000 0.8467
O7 0.5000 0.5000 0.0357
O8 0.5000 0.5000 0.6923
```

Top 12 peaks for 2θ = 10–80°, by intensity:
| 2θ/deg | Rel. int. |
| --- | --- |
| 30.93 | 100 |
| 31.07 | 75 |
| 55.19 | 40 |
| 44.52 | 38 |
| 42.90 | 23 |
| 14.38 | 22 |
| 73.55 | 21 |
| 54.92 | 15 |
| 63.54 | 14 |
| 43.01 | 12 |
| 64.45 | 12 |
| 64.78 | 12 |



Q: What is the formula in the fifth record?
A: Y2Tm17